Computed powder diffractogram
Compound: SrCa3Co4O12
Radiation: Cu Kα X-rays
Structure: DFT lattice parameters and positions (GGA+U)
Intensities are scaled so that the largest is 1000.

Structural model:
Lattice parameters (Å, degrees): 7.547 7.547 3.880 90.00 90.00 90.00
Positions (direct):
Sr (0.000, 0.000, 0.000)
Ca (0.000, 0.500, 0.000)
Ca (0.500, 0.000, 0.000)
Ca (0.500, 0.500, 0.000)
Co (0.251, 0.251, 0.500)
Co (0.251, 0.749, 0.500)
Co (0.749, 0.251, 0.500)
Co (0.749, 0.749, 0.500)
O (0.000, 0.256, 0.500)
O (0.000, 0.744, 0.500)
O (0.250, 0.500, 0.500)
O (0.256, 0.000, 0.500)
O (0.257, 0.257, 0.000)
O (0.257, 0.743, 0.000)
O (0.500, 0.250, 0.500)
O (0.500, 0.750, 0.500)
O (0.743, 0.257, 0.000)
O (0.743, 0.743, 0.000)
O (0.744, 0.000, 0.500)
O (0.750, 0.500, 0.500)

Largest 10 diffraction maxima, by intensity, 2θ from 10° to 90°:
33.1 deg, intensity 1000, (2 0 1); 33.6 deg, intensity 480, (2 2 0); 48.2 deg, intensity 432, (4 0 0); 59.8 deg, intensity 349, (4 2 1); 69.5 deg, intensity 246, (4 0 2); 46.8 deg, intensity 239, (0 0 2); 58.9 deg, intensity 182, (2 2 2); 89.1 deg, intensity 120, (4 4 2); 70.6 deg, intensity 116, (4 4 0); 41.1 deg, intensity 84, (2 2 1)